Starting from a cell relaxed with GGA-PBE, the PXRD pattern of CeMg6Fe was calculated for Cu Kα.

Structure:
```
data_CeMg6Fe
_chemical_formula_sum 'Ce2 Mg12 Fe2'
_space_group_name_H-M_alt 'A m m 2'
_space_group_IT_number 38
_cell_length_a 5.0566
_cell_length_b 5.7321
_cell_length_c 12.2525
_cell_angle_alpha 90.00
_cell_angle_beta 90.00
_cell_angle_gamma 90.00
loop_
_space_group_symop_operation_xyz
'x,y,z'
'-x,-y,z'
'-x,y,z'
'x,-y,z'
'x,y+1/2,z+1/2'
'-x,-y+1/2,z+1/2'
'-x,y+1/2,z+1/2'
'x,-y+1/2,z+1/2'
loop_
_atom_site_label
_atom_site_type_symbol
_atom_site_fract_x
_atom_site_fract_y
_atom_site_fract_z
Ce1 Ce 0.0000 0.0000 0.0000
Mg1 Mg 0.0000 0.2493 0.7469
Mg2 Mg 0.5000 0.0000 0.1598
Mg3 Mg 0.5000 0.0000 0.6068
Mg4 Mg 0.5000 0.2452 0.3903
Fe1 Fe 0.0000 0.0000 0.4762
```

Top 8 peaks for 15 to 90 degrees two-theta, in order of rising 2θ:
2θ/deg, d (Å), Rel. int.
17.54, 5.057, 49
22.80, 3.900, 48
24.57, 3.622, 31
34.23, 2.620, 93
34.55, 2.596, 51
35.51, 2.528, 49
39.00, 2.309, 100
50.38, 1.811, 34